(1)
Diffraction record for LaCe4Os2. The powder diffraction line list is calculated, not measured: it uses a structure optimized by DFT (PBE) and Cu Kα.
Lines closer than 0.1° are merged.

Structural model:
Unit cell a=4.8289 b=15.1688 c=4.7049 alpha=90.00 beta=90.00 gamma=90.00
Fractional coordinates of all 14 atoms:
La 0.0000 0.0000 0.0000
La 0.5000 0.5000 0.0000
Ce 0.0000 0.1886 0.5000
Ce 0.0000 0.3208 0.0000
Ce 0.0000 0.6792 0.0000
Ce 0.0000 0.8114 0.5000
Ce 0.5000 0.1792 0.0000
Ce 0.5000 0.3114 0.5000
Ce 0.5000 0.6886 0.5000
Ce 0.5000 0.8208 0.0000
Os 0.0000 0.4153 0.5000
Os 0.0000 0.5847 0.5000
Os 0.5000 0.0847 0.5000
Os 0.5000 0.9153 0.5000

Peak list (10 most intense, 2θ = 5–70°, low angle first)
2θ (°), I (rel.)
19.3, 15.6
27.1, 19.1
31.9, 100.0
34.9, 23.6
37.2, 43.9
38.3, 40.8
40.0, 58.0
40.5, 19.8
54.5, 29.4
56.2, 15.3

=====

(2)
Diffraction record for Nd12SmY3. The powder diffraction line list is calculated, not measured: it uses a structure optimized by DFT (PBE) and Cu Kα.
Lines closer than 0.1° are merged.

Structural model:
Unit cell a=5.1763 b=5.1763 c=20.6346 alpha=90.00 beta=90.00 gamma=90.00
Fractional coordinates of all 16 atoms:
Nd 0.0000 0.0000 0.0000
Nd 0.0000 0.0000 0.2492
Nd 0.0000 0.0000 0.5000
Nd 0.0000 0.0000 0.7508
Nd 0.0000 0.5000 0.1247
Nd 0.0000 0.5000 0.3744
Nd 0.0000 0.5000 0.6256
Nd 0.0000 0.5000 0.8753
Nd 0.5000 0.0000 0.1247
Nd 0.5000 0.0000 0.3744
Nd 0.5000 0.0000 0.6256
Nd 0.5000 0.0000 0.8753
Sm 0.5000 0.5000 0.5000
Y 0.5000 0.5000 0.0000
Y 0.5000 0.5000 0.2493
Y 0.5000 0.5000 0.7507

Peak list (10 most intense, 2θ = 5–70°, low angle first)
2θ (°), I (rel.)
17.1, 1.4
24.3, 1.3
29.9, 100.0
34.7, 33.9
34.8, 16.8
42.8, 0.6
49.9, 36.1
59.2, 28.7
59.4, 14.2
62.2, 12.3

=====

(3)
Diffraction record for RbYBeF6. The powder diffraction line list is calculated, not measured: it uses a structure optimized by DFT (PBE) and Cu Kα.
Lines closer than 0.1° are merged.

Structural model:
Unit cell a=6.5623 b=5.8980 c=7.3419 alpha=90.00 beta=113.94 gamma=90.00
Fractional coordinates of all 18 atoms:
Rb 0.0845 0.2500 0.2138
Rb 0.9155 0.7500 0.7862
Y 0.3951 0.2500 0.8225
Y 0.6049 0.7500 0.1775
Be 0.2313 0.7500 0.4642
Be 0.7687 0.2500 0.5358
F 0.0003 0.2500 0.7200
F 0.9997 0.7500 0.2800
F 0.2491 0.5348 0.5948
F 0.2491 0.9652 0.5948
F 0.3205 0.5013 0.0252
F 0.3205 0.9987 0.0252
F 0.4187 0.7500 0.3866
F 0.5813 0.2500 0.6133
F 0.6795 0.0013 0.9748
F 0.6795 0.4987 0.9748
F 0.7509 0.0348 0.4052
F 0.7509 0.4652 0.4052

Peak list (10 most intense, 2θ = 5–70°, low angle first)
2θ (°), I (rel.)
21.1, 31.8
21.5, 29.9
27.2, 40.1
28.1, 100.0
28.9, 73.4
30.3, 26.0
40.7, 39.2
41.2, 24.9
43.0, 19.3
48.9, 18.3

=====

(4)
Diffraction record for Ca3Ce4Te8. The powder diffraction line list is calculated, not measured: it uses a structure optimized by DFT (PBE) and Cu Kα.
Lines closer than 0.1° are merged.

Structural model:
Unit cell a=9.0041 b=9.0041 c=9.0102 alpha=119.90 beta=119.90 gamma=90.03
Fractional coordinates of all 15 atoms:
Ca 0.0000 0.0000 0.0000
Ca 0.0000 0.5000 0.0000
Ca 0.5000 0.0000 0.0000
Ce 0.0000 0.5000 0.5000
Ce 0.5000 0.0000 0.5000
Ce 0.5000 0.5000 0.0000
Ce 0.5000 0.5000 0.5000
Te 0.2458 0.2458 0.4986
Te 0.2479 0.7521 0.0000
Te 0.2476 0.7524 0.5000
Te 0.2494 0.2494 0.9991
Te 0.7506 0.7506 0.0009
Te 0.7521 0.2479 0.0000
Te 0.7524 0.2476 0.5000
Te 0.7542 0.7542 0.5014

Peak list (10 most intense, 2θ = 5–70°, low angle first)
2θ (°), I (rel.)
12.0, 11.0
23.1, 9.0
28.0, 88.0
28.0, 43.8
40.0, 100.0
49.5, 35.7
57.9, 11.1
65.4, 11.5
65.5, 15.2
65.6, 18.9

=====

(5)
Diffraction record for In2CuPb. The powder diffraction line list is calculated, not measured: it uses a structure optimized by DFT (PBE) and Cu Kα.
Lines closer than 0.1° are merged.

Structural model:
Unit cell a=3.3121 b=4.4955 c=13.4054 alpha=90.00 beta=90.00 gamma=90.00
Fractional coordinates of all 8 atoms:
In 0.0000 0.0000 0.0000
In 0.0000 0.5000 0.1772
In 0.5000 0.0000 0.6772
In 0.5000 0.5000 0.5000
Cu 0.0000 0.0000 0.5030
Cu 0.5000 0.5000 0.0030
Pb 0.0000 0.5000 0.8170
Pb 0.5000 0.0000 0.3170

Peak list (10 most intense, 2θ = 5–70°, low angle first)
2θ (°), I (rel.)
20.8, 17.1
27.7, 25.3
28.2, 78.6
33.7, 33.8
36.3, 100.0
40.1, 30.6
40.4, 25.2
43.4, 43.1
58.2, 16.9
65.8, 25.5

=====

(6)
Diffraction record for LaPr3Ho7. The powder diffraction line list is calculated, not measured: it uses a structure optimized by DFT (PBE) and Cu Kα.
Lines closer than 0.1° are merged.

Structural model:
Unit cell a=7.0975 b=7.0975 c=8.7793 alpha=90.00 beta=90.00 gamma=120.00
Fractional coordinates of all 11 atoms:
La 0.0000 0.0000 0.0000
Pr 0.1671 0.3341 0.6582
Pr 0.1671 0.8329 0.6582
Pr 0.6659 0.8329 0.6582
Ho 0.0016 0.5008 0.9992
Ho 0.3332 0.1666 0.3232
Ho 0.3333 0.6667 0.3196
Ho 0.4992 0.5008 0.9992
Ho 0.4992 0.9984 0.9992
Ho 0.8334 0.1666 0.3232
Ho 0.8334 0.6668 0.3232

Peak list (10 most intense, 2θ = 5–70°, low angle first)
2θ (°), I (rel.)
10.1, 9.1
30.5, 33.5
30.8, 100.0
35.7, 68.9
51.1, 23.9
51.5, 23.7
60.8, 14.8
61.1, 28.1
61.2, 14.2
64.2, 12.5

=====

(7)
Diffraction record for LiCe2N2Cl2. The powder diffraction line list is calculated, not measured: it uses a structure optimized by DFT (PBE) and Cu Kα.
Lines closer than 0.1° are merged.

Structural model:
Unit cell a=3.9639 b=3.9639 c=11.4862 alpha=90.00 beta=90.00 gamma=120.00
Fractional coordinates of all 7 atoms:
Li 0.0000 0.0000 0.0000
Ce 0.3333 0.6667 0.6198
Ce 0.6667 0.3333 0.3802
N 0.3333 0.6667 0.4202
N 0.6667 0.3333 0.5798
Cl 0.0000 0.0000 0.1885
Cl 0.0000 0.0000 0.8115

Peak list (10 most intense, 2θ = 5–70°, low angle first)
2θ (°), I (rel.)
7.7, 100.0
27.1, 42.2
30.3, 36.6
31.1, 8.6
35.1, 22.9
45.8, 15.8
46.5, 8.1
54.9, 8.5
56.4, 9.3
61.8, 8.6

=====

(8)
Diffraction record for La2TbUN5. The powder diffraction line list is calculated, not measured: it uses a structure optimized by DFT (PBE) and Cu Kα.
Lines closer than 0.1° are merged.

Structural model:
Unit cell a=4.1094 b=4.1094 c=9.0876 alpha=90.00 beta=90.00 gamma=90.00
Fractional coordinates of all 9 atoms:
La 0.0000 0.0000 0.2312
La 0.0000 0.0000 0.7688
Tb 0.5000 0.5000 0.5000
U 0.5000 0.5000 0.0000
N 0.0000 0.0000 0.5000
N 0.0000 0.5000 0.0000
N 0.5000 0.0000 0.0000
N 0.5000 0.5000 0.2500
N 0.5000 0.5000 0.7500

Peak list (10 most intense, 2θ = 5–70°, low angle first)
2θ (°), I (rel.)
9.7, 11.0
29.3, 100.0
30.8, 54.1
39.7, 14.5
44.1, 23.3
51.0, 24.1
53.8, 38.4
60.8, 16.2
64.1, 7.5
65.7, 8.9

=====

(9)
Diffraction record for CrBiSe2. The powder diffraction line list is calculated, not measured: it uses a structure optimized by DFT (PBE) and Cu Kα.
Lines closer than 0.1° are merged.

Structural model:
Unit cell a=6.3951 b=3.6107 c=16.8208 alpha=90.00 beta=90.00 gamma=90.00
Fractional coordinates of all 16 atoms:
Cr 0.1006 0.2500 0.0846
Cr 0.3994 0.7500 0.5846
Cr 0.6006 0.2500 0.4154
Cr 0.8994 0.7500 0.9154
Bi 0.0306 0.2500 0.6550
Bi 0.4694 0.7500 0.1550
Bi 0.5306 0.2500 0.8450
Bi 0.9694 0.7500 0.3450
Se 0.0468 0.2500 0.8259
Se 0.2383 0.7500 0.9938
Se 0.2617 0.2500 0.4938
Se 0.4532 0.7500 0.3259
Se 0.5468 0.2500 0.6741
Se 0.7383 0.7500 0.5062
Se 0.7617 0.2500 0.0062
Se 0.9532 0.7500 0.1741

Peak list (10 most intense, 2θ = 5–70°, low angle first)
2θ (°), I (rel.)
21.1, 80.4
25.2, 100.0
27.9, 33.4
29.9, 47.9
30.3, 77.1
31.9, 51.3
35.3, 58.9
36.5, 79.9
38.0, 70.8
46.6, 46.9

=====

(10)
Diffraction record for Mg16Al12Re. The powder diffraction line list is calculated, not measured: it uses a structure optimized by DFT (PBE) and Cu Kα.
Lines closer than 0.1° are merged.

Structural model:
Unit cell a=8.9365 b=8.9365 c=8.9365 alpha=108.51 beta=108.51 gamma=108.51
Fractional coordinates of all 29 atoms:
Mg 0.0000 0.0000 0.0000
Mg 0.2642 0.6669 0.6669
Mg 0.3067 0.5803 0.9793
Mg 0.3067 0.9793 0.5803
Mg 0.3406 0.9813 0.9813
Mg 0.4151 0.4151 0.6760
Mg 0.4151 0.6760 0.4151
Mg 0.5803 0.3067 0.9793
Mg 0.5803 0.9793 0.3067
Mg 0.6669 0.2642 0.6669
Mg 0.6669 0.6669 0.2642
Mg 0.6760 0.4151 0.4151
Mg 0.9793 0.3067 0.5803
Mg 0.9793 0.5803 0.3067
Mg 0.9813 0.3406 0.9813
Mg 0.9813 0.9813 0.3406
Al 0.1417 0.3330 0.3330
Al 0.1772 0.1772 0.7861
Al 0.1772 0.7861 0.1772
Al 0.3330 0.1417 0.3330
Al 0.3330 0.3330 0.1417
Al 0.6220 0.8022 0.9829
Al 0.6220 0.9829 0.8022
Al 0.7861 0.1772 0.1772
Al 0.8023 0.6220 0.9829
Al 0.8023 0.9829 0.6220
Al 0.9829 0.6220 0.8023
Al 0.9829 0.8023 0.6220
Re 0.7153 0.7153 0.7153

Peak list (10 most intense, 2θ = 5–70°, low angle first)
2θ (°), I (rel.)
11.8, 94.1
12.2, 100.0
21.0, 40.3
34.4, 40.0
35.9, 53.8
36.6, 37.3
37.0, 62.5
37.2, 38.7
41.2, 68.8
44.0, 39.8

=====

(11)
Diffraction record for Hf3Cu2Ir2. The powder diffraction line list is calculated, not measured: it uses a structure optimized by DFT (PBE) and Cu Kα.
Lines closer than 0.1° are merged.

Structural model:
Unit cell a=7.8012 b=4.5147 c=7.8267 alpha=90.00 beta=109.13 gamma=90.00
Fractional coordinates of all 14 atoms:
Hf 0.0000 0.0000 0.0000
Hf 0.2419 0.0000 0.7236
Hf 0.2581 0.5000 0.2764
Hf 0.5000 0.5000 0.0000
Hf 0.7419 0.5000 0.7236
Hf 0.7581 0.0000 0.2764
Cu 0.1307 0.5000 0.8917
Cu 0.3693 0.0000 0.1083
Cu 0.6307 0.0000 0.8917
Cu 0.8693 0.5000 0.1083
Ir 0.1189 0.0000 0.3579
Ir 0.3811 0.5000 0.6421
Ir 0.6189 0.5000 0.3579
Ir 0.8811 0.0000 0.6421

Peak list (10 most intense, 2θ = 5–70°, low angle first)
2θ (°), I (rel.)
23.1, 56.9
24.1, 14.2
36.5, 17.3
39.8, 32.5
39.9, 100.0
40.0, 71.1
55.1, 20.2
55.4, 10.4
57.7, 22.0
57.9, 10.8

=====

(12)
Diffraction record for YCd2Pd9. The powder diffraction line list is calculated, not measured: it uses a structure optimized by DFT (PBE) and Cu Kα.
Lines closer than 0.1° are merged.

Structural model:
Unit cell a=4.0633 b=4.0633 c=12.2300 alpha=90.00 beta=90.00 gamma=90.00
Fractional coordinates of all 12 atoms:
Y 0.0000 0.0000 0.0000
Cd 0.0000 0.0000 0.3376
Cd 0.0000 0.0000 0.6624
Pd 0.0000 0.5000 0.1720
Pd 0.0000 0.5000 0.5000
Pd 0.0000 0.5000 0.8280
Pd 0.5000 0.0000 0.1720
Pd 0.5000 0.0000 0.5000
Pd 0.5000 0.0000 0.8280
Pd 0.5000 0.5000 0.0000
Pd 0.5000 0.5000 0.3347
Pd 0.5000 0.5000 0.6653

Peak list (6 most intense, 2θ = 5–70°, low angle first)
2θ (°), I (rel.)
7.2, 1.3
38.3, 100.0
44.4, 16.1
44.6, 32.4
64.8, 20.3
64.9, 10.3

=====

(13)
Diffraction record for K2Sn2Sb2Au. The powder diffraction line list is calculated, not measured: it uses a structure optimized by DFT (PBE) and Cu Kα.
Lines closer than 0.1° are merged.

Structural model:
Unit cell a=4.4095 b=7.1435 c=8.4922 alpha=69.13 beta=75.05 gamma=89.88
Fractional coordinates of all 7 atoms:
K 0.1421 0.2714 0.2133
K 0.8579 0.7286 0.7867
Sn 0.4296 0.2911 0.6373
Sn 0.5704 0.7089 0.3627
Sb 0.1929 0.8034 0.1152
Sb 0.8071 0.1966 0.8848
Au 0.5000 0.0000 0.5000

Peak list (10 most intense, 2θ = 5–70°, low angle first)
2θ (°), I (rel.)
11.6, 23.5
13.3, 33.1
20.7, 36.1
21.0, 44.6
26.8, 100.0
28.4, 43.3
32.8, 36.7
32.9, 35.1
37.9, 60.2
40.9, 30.7